Simulated X-ray diffraction stick pattern
Compound: CrCdNiF6
Radiation: Cu Ka
Structure: a DFT-relaxed cell (GGA+U, Alexandria)
Intensities are scaled so that the largest is 100.

Atomic structure:
```
18
Lattice="5.4000 0.0000 0.0000 -2.7000 4.6766 0.0000 0.0000 0.0000 9.6513" Properties=species:S:1:pos:R:3 pbc="T T T"
Cr 0.0000 3.1177 2.4128
Cr 2.7000 1.5589 7.2384
Cd 0.0000 0.0000 0.0000
Cd 0.0000 0.0000 4.8256
Ni 0.0000 3.1177 7.2384
Ni 2.7000 1.5589 2.4128
F -0.9028 1.6595 6.1403
F -1.7143 3.0650 8.3366
F 0.9028 1.6595 8.3366
F -0.8115 4.6286 6.1403
F 1.8885 0.0479 1.3147
F 0.9858 1.6115 3.5109
F 1.7143 3.0650 6.1403
F 0.8115 4.6286 8.3366
F 3.5115 0.0479 3.5109
F 1.7973 3.0171 1.3147
F 4.4143 1.6115 1.3147
F 3.6028 3.0171 3.5109
```

Principal peaks in the range 15 to 90 degrees two-theta, most intense first:
| d/Å | Rel. int. |
| --- | --- |
| 3.358 | 100 |
| 1.799 | 42 |
| 2.700 | 28 |
| 2.104 | 26 |
| 1.660 | 24 |
| 1.559 | 17 |
| 2.356 | 12 |
| 1.253 | 9 |